No. 1
Theoretical PXRD pattern of NaGeO3 for CuKα, from a cell relaxed with PBE.
Lines closer than 0.1° are merged.

The 5 most intense peaks (2θ = 5–70°), sorted by position:
| d (Å) | 2theta | I/Imax | hkl |
| --- | --- | --- | --- |
| 3.765 | 23.6 | 85 | 1 0 0 |
| 2.662 | 33.7 | 100 | 1 1 0 |
| 1.882 | 48.4 | 53 | 2 0 0 |
| 1.684 | 54.5 | 31 | 2 1 0 |
| 1.537 | 60.2 | 38 | 2 1 1 |

Structural model:
```
data_NaGeO3
_chemical_formula_sum 'Na1 Ge1 O3'
_cell_length_a 3.7648
_cell_length_b 3.7648
_cell_length_c 3.7648
_cell_angle_alpha 90.00
_cell_angle_beta 90.00
_cell_angle_gamma 90.00
_symmetry_space_group_name_H-M 'P m -3 m'
_symmetry_Int_Tables_number 221
_symmetry_space_group_name_Hall '-P 4 2 3'
loop_
_atom_site_label
_atom_site_fract_x
_atom_site_fract_y
_atom_site_fract_z
Na1 0.0000 0.0000 0.0000
Ge1 0.5000 0.5000 0.5000
O1 0.0000 0.5000 0.5000
```

=====

No. 2
Theoretical PXRD pattern of MgSi2 for CuKα, from a cell relaxed with PBE.
Lines closer than 0.1° are merged.

The 8 most intense peaks (2θ = 5–70°), sorted by position:
| d (Å) | 2theta | I/Imax | hkl |
| --- | --- | --- | --- |
| 4.756 | 18.7 | 35 | 0 0 2 |
| 2.376 | 37.9 | 100 | 1 2 0 |
| 2.361 | 38.1 | 61 | 1 0 3 |
| 2.294 | 39.3 | 59 | 1 0 -3 |
| 2.287 | 39.4 | 72 | 1 -2 0 |
| 2.255 | 40.0 | 54 | 0 2 3 |
| 2.235 | 40.4 | 53 | 0 2 -3 |
| 1.713 | 53.5 | 28 | 2 0 0 |

Structural model:
```
data_MgSi2
_chemical_formula_sum 'Mg4 Si8'
_cell_length_a 3.4300
_cell_length_b 6.3615
_cell_length_c 9.5163
_cell_angle_alpha 89.42
_cell_angle_beta 88.32
_cell_angle_gamma 87.81
_symmetry_space_group_name_H-M 'P -1'
_symmetry_Int_Tables_number 2
loop_
_symmetry_equiv_pos_as_xyz
'x,y,z'
'-x,-y,-z'
loop_
_atom_site_label
_atom_site_fract_x
_atom_site_fract_y
_atom_site_fract_z
Mg1 0.2500 0.1251 0.2502
Mg2 0.2500 0.6250 0.2501
Si1 0.2457 0.1243 0.5527
Si2 0.2456 0.6255 0.5520
Si3 0.2541 0.1244 0.9470
Si4 0.2543 0.6255 0.9476
```

=====

No. 3
Theoretical PXRD pattern of UCo4Sn for CuKα, from a cell relaxed with PBE.
Lines closer than 0.1° are merged.

The 8 most intense peaks (2θ = 5–70°), sorted by position:
| d (Å) | 2theta | I/Imax | hkl |
| --- | --- | --- | --- |
| 4.034 | 22.0 | 24 | 1 1 1 |
| 3.493 | 25.5 | 8 | 2 0 0 |
| 2.470 | 36.4 | 68 | 2 2 0 |
| 2.107 | 42.9 | 100 | 3 1 1 |
| 2.017 | 44.9 | 15 | 2 2 2 |
| 1.603 | 57.5 | 7 | 3 3 1 |
| 1.426 | 65.4 | 26 | 4 2 2 |
| 1.345 | 70.0 | 32 | 5 1 1 |

Structural model:
```
data_UCo4Sn
_chemical_formula_sum 'U4 Co16 Sn4'
_cell_length_a 6.9869
_cell_length_b 6.9869
_cell_length_c 6.9869
_cell_angle_alpha 90.00
_cell_angle_beta 90.00
_cell_angle_gamma 90.00
_symmetry_space_group_name_H-M 'F -4 3 m'
_symmetry_Int_Tables_number 216
_symmetry_space_group_name_Hall 'F -4 2 3'
loop_
_atom_site_label
_atom_site_fract_x
_atom_site_fract_y
_atom_site_fract_z
U1 0.0000 0.0000 0.0000
Co1 0.1235 0.1235 0.3765
Sn1 0.2500 0.2500 0.7500
```

=====

No. 4
Theoretical PXRD pattern of Nb5Ni4P4 for CuKα, from a cell relaxed with PBE.
Lines closer than 0.1° are merged.

The 8 most intense peaks (2θ = 5–70°), sorted by position:
| d (Å) | 2theta | I/Imax | hkl |
| --- | --- | --- | --- |
| 2.772 | 32.3 | 29 | 1 2 1 |
| 2.424 | 37.1 | 55 | 3 0 1 |
| 2.356 | 38.2 | 21 | 3 3 0 |
| 2.235 | 40.4 | 29 | 2 4 0 |
| 2.181 | 41.4 | 100 | 2 3 1 |
| 1.999 | 45.4 | 25 | 4 1 1 |
| 1.960 | 46.3 | 34 | 5 1 0 |
| 1.767 | 51.7 | 26 | 0 0 2 |

Structural model:
```
data_Nb5Ni4P4
_chemical_formula_sum 'Nb10 Ni8 P8'
_cell_length_a 9.9952
_cell_length_b 9.9952
_cell_length_c 3.5338
_cell_angle_alpha 90.00
_cell_angle_beta 90.00
_cell_angle_gamma 90.00
_symmetry_space_group_name_H-M 'I 4/m'
_symmetry_Int_Tables_number 87
_symmetry_space_group_name_Hall '-I 4'
loop_
_atom_site_label
_atom_site_fract_x
_atom_site_fract_y
_atom_site_fract_z
Nb1 0.0000 0.0000 0.0000
Nb2 0.1309 0.1947 0.5000
Ni1 0.0851 0.6098 0.5000
P1 0.0556 0.7403 0.0000
```